For Li9Fe3O2F14, a DFT-relaxed cell (PBE+U, Alexandria) gives the simulated X-ray diffraction stick pattern in this record (Cu Ka).
Lines closer than 0.1° are merged.

Structure:
```
data_Li9Fe3O2F14
_chemical_formula_sum 'Li9 Fe3 O2 F14'
_cell_length_a 5.911
_cell_length_b 5.990
_cell_length_c 10.286
_cell_angle_alpha 73.29
_cell_angle_beta 74.13
_cell_angle_gamma 60.44
_space_group_name_H-M_alt 'P 1'
_space_group_IT_number 1
loop_
_space_group_symop_operation_xyz
'x,y,z'
loop_
_atom_site_label
_atom_site_fract_x
_atom_site_fract_y
_atom_site_fract_z
Li1 0.000 0.000 0.000
Li2 0.000 0.500 0.500
Li3 0.041 0.081 0.309
Li4 0.237 0.235 0.758
Li5 0.455 0.405 0.195
Li6 0.500 0.000 0.000
Li7 0.545 0.595 0.805
Li8 0.763 0.765 0.242
Li9 0.959 0.919 0.691
Fe1 0.000 0.500 0.000
Fe2 0.500 0.000 0.500
Fe3 0.500 0.500 0.500
O1 0.393 0.351 0.400
O2 0.607 0.649 0.600
F1 0.115 0.618 0.118
F2 0.120 0.148 0.112
F3 0.142 0.128 0.621
F4 0.145 0.599 0.623
F5 0.345 0.380 0.883
F6 0.353 0.905 0.883
F7 0.380 0.871 0.374
F8 0.620 0.129 0.626
F9 0.647 0.095 0.117
F10 0.655 0.620 0.117
F11 0.855 0.401 0.377
F12 0.858 0.872 0.379
F13 0.880 0.852 0.888
F14 0.885 0.382 0.882
```

Top 8 peaks for 10° ≤ 2θ ≤ 90°, most intense first:
| 2theta | d (Å) | intensity |
| --- | --- | --- |
| 18.24 | 4.864 | 100 |
| 42.75 | 2.115 | 97 |
| 18.39 | 4.824 | 90 |
| 43.24 | 2.092 | 47 |
| 61.95 | 1.498 | 44 |
| 20.98 | 4.234 | 43 |
| 62.93 | 1.477 | 29 |
| 35.14 | 2.554 | 27 |

---

For Li3Fe4O3F9, a DFT-relaxed cell (PBE+U, Alexandria) gives the simulated X-ray diffraction stick pattern in this record (Cu Ka).
Lines closer than 0.1° are merged.

Structure:
```
data_Li3Fe4O3F9
_chemical_formula_sum 'Li3 Fe4 O3 F9'
_cell_length_a 5.943
_cell_length_b 6.006
_cell_length_c 6.046
_cell_angle_alpha 98.65
_cell_angle_beta 98.94
_cell_angle_gamma 98.41
_space_group_name_H-M_alt 'P 1'
_space_group_IT_number 1
loop_
_space_group_symop_operation_xyz
'x,y,z'
loop_
_atom_site_label
_atom_site_fract_x
_atom_site_fract_y
_atom_site_fract_z
Li1 0.000 0.000 0.000
Li2 0.085 0.271 0.535
Li3 0.244 0.500 0.041
Fe1 0.389 0.858 0.665
Fe2 0.535 0.207 0.276
Fe3 0.696 0.420 0.777
Fe4 0.785 0.682 0.303
O1 0.488 0.154 0.592
O2 0.590 0.433 0.066
O3 0.792 0.442 0.479
F1 0.007 0.683 0.095
F2 0.062 0.880 0.541
F3 0.213 0.271 0.254
F4 0.282 0.550 0.717
F5 0.349 0.979 0.977
F6 0.461 0.730 0.364
F7 0.695 0.777 0.788
F8 0.773 0.007 0.232
F9 0.957 0.258 0.841
```

Top 8 peaks for 10° ≤ 2θ ≤ 90°, most intense first:
| 2theta | d (Å) | intensity |
| --- | --- | --- |
| 15.33 | 5.781 | 100 |
| 24.77 | 3.594 | 65 |
| 31.67 | 2.825 | 58 |
| 31.55 | 2.836 | 55 |
| 19.63 | 4.523 | 54 |
| 32.07 | 2.791 | 53 |
| 53.45 | 1.714 | 44 |
| 30.90 | 2.894 | 43 |

---

For LiFe2O3F, a DFT-relaxed cell (PBE+U, Alexandria) gives the simulated X-ray diffraction stick pattern in this record (Cu Ka).
Lines closer than 0.1° are merged.

Structure:
```
data_LiFe2O3F
_chemical_formula_sum 'Li4 Fe8 O12 F4'
_cell_length_a 7.788
_cell_length_b 7.788
_cell_length_c 5.899
_cell_angle_alpha 112.11
_cell_angle_beta 112.11
_cell_angle_gamma 64.31
_space_group_name_H-M_alt 'P 1'
_space_group_IT_number 1
loop_
_space_group_symop_operation_xyz
'x,y,z'
loop_
_atom_site_label
_atom_site_fract_x
_atom_site_fract_y
_atom_site_fract_z
Li1 0.119 0.881 0.500
Li2 0.135 0.379 0.283
Li3 0.379 0.135 0.783
Li4 0.881 0.119 0.000
Fe1 0.125 0.620 0.900
Fe2 0.372 0.886 0.156
Fe3 0.492 0.507 0.262
Fe4 0.507 0.492 0.762
Fe5 0.620 0.125 0.400
Fe6 0.758 0.758 0.037
Fe7 0.758 0.758 0.537
Fe8 0.886 0.372 0.656
O1 0.264 0.740 0.238
O2 0.381 0.408 0.909
O3 0.408 0.381 0.409
O4 0.509 0.988 0.499
O5 0.509 0.992 0.057
O6 0.602 0.639 0.131
O7 0.639 0.602 0.631
O8 0.740 0.264 0.738
O9 0.851 0.882 0.393
O10 0.882 0.851 0.893
O11 0.988 0.509 0.999
O12 0.992 0.509 0.557
F1 0.115 0.140 0.652
F2 0.140 0.115 0.152
F3 0.260 0.744 0.779
F4 0.744 0.260 0.279
```

Top 8 peaks for 10° ≤ 2θ ≤ 90°, most intense first:
| 2theta | d (Å) | intensity |
| --- | --- | --- |
| 18.46 | 4.806 | 100 |
| 13.05 | 6.786 | 79 |
| 43.29 | 2.090 | 38 |
| 43.43 | 2.084 | 37 |
| 43.67 | 2.073 | 37 |
| 35.69 | 2.516 | 32 |
| 25.04 | 3.557 | 30 |
| 33.12 | 2.705 | 23 |

---

For Li2FeOF3, a DFT-relaxed cell (PBE+U, Alexandria) gives the simulated X-ray diffraction stick pattern in this record (Cu Ka).
Lines closer than 0.1° are merged.

Structure:
```
data_Li2FeOF3
_chemical_formula_sum 'Li4 Fe2 O2 F6'
_cell_length_a 5.187
_cell_length_b 5.187
_cell_length_c 10.414
_cell_angle_alpha 101.39
_cell_angle_beta 101.39
_cell_angle_gamma 33.29
_space_group_name_H-M_alt 'P 1'
_space_group_IT_number 1
loop_
_space_group_symop_operation_xyz
'x,y,z'
loop_
_atom_site_label
_atom_site_fract_x
_atom_site_fract_y
_atom_site_fract_z
Li1 0.000 0.000 0.000
Li2 0.000 0.000 0.500
Li3 0.230 0.230 0.388
Li4 0.770 0.770 0.612
Fe1 0.230 0.230 0.872
Fe2 0.770 0.770 0.128
O1 0.363 0.363 0.055
O2 0.637 0.637 0.945
F1 0.142 0.142 0.172
F2 0.154 0.154 0.688
F3 0.374 0.374 0.550
F4 0.626 0.626 0.450
F5 0.846 0.846 0.312
F6 0.858 0.858 0.828
```

Top 8 peaks for 10° ≤ 2θ ≤ 90°, most intense first:
| 2theta | d (Å) | intensity |
| --- | --- | --- |
| 18.24 | 4.863 | 100 |
| 42.59 | 2.123 | 72 |
| 43.38 | 2.086 | 47 |
| 18.52 | 4.790 | 41 |
| 35.22 | 2.548 | 37 |
| 33.23 | 2.696 | 21 |
| 61.93 | 1.498 | 20 |
| 26.24 | 3.397 | 17 |

---

For Li4FeO3F, a DFT-relaxed cell (PBE+U, Alexandria) gives the simulated X-ray diffraction stick pattern in this record (Cu Ka).
Lines closer than 0.1° are merged.

Structure:
```
data_Li4FeO3F
_chemical_formula_sum 'Li8 Fe2 O6 F2'
_cell_length_a 5.482
_cell_length_b 5.680
_cell_length_c 7.008
_cell_angle_alpha 74.38
_cell_angle_beta 71.94
_cell_angle_gamma 61.35
_space_group_name_H-M_alt 'P 1'
_space_group_IT_number 1
loop_
_space_group_symop_operation_xyz
'x,y,z'
loop_
_atom_site_label
_atom_site_fract_x
_atom_site_fract_y
_atom_site_fract_z
Li1 0.000 0.000 0.000
Li2 0.000 0.113 0.608
Li3 0.179 0.612 0.552
Li4 0.279 0.547 0.138
Li5 0.336 0.040 0.198
Li6 0.416 0.665 0.745
Li7 0.472 0.090 0.721
Li8 0.696 0.143 0.350
Fe1 0.749 0.626 0.391
Fe2 0.828 0.590 0.962
O1 0.000 0.783 0.321
O2 0.013 0.797 0.803
O3 0.442 0.807 0.967
O4 0.443 0.929 0.491
O5 0.593 0.382 0.552
O6 0.987 0.380 0.194
F1 0.043 0.312 0.769
F2 0.599 0.229 0.088
```

Top 8 peaks for 10° ≤ 2θ ≤ 90°, most intense first:
| 2theta | d (Å) | intensity |
| --- | --- | --- |
| 17.98 | 4.933 | 100 |
| 18.88 | 4.700 | 93 |
| 19.67 | 4.514 | 88 |
| 29.58 | 3.020 | 80 |
| 30.36 | 2.944 | 51 |
| 27.59 | 3.233 | 48 |
| 39.94 | 2.257 | 46 |
| 20.73 | 4.285 | 35 |

---

For Li3Fe2P2O8F2, a DFT-relaxed cell (PBE+U, Alexandria) gives the simulated X-ray diffraction stick pattern in this record (Cu Ka).
Lines closer than 0.1° are merged.

Structure:
```
data_Li3Fe2P2O8F2
_chemical_formula_sum 'Li3 Fe2 P2 O8 F2'
_cell_length_a 5.208
_cell_length_b 5.395
_cell_length_c 7.409
_cell_angle_alpha 106.86
_cell_angle_beta 107.67
_cell_angle_gamma 97.18
_space_group_name_H-M_alt 'P 1'
_space_group_IT_number 1
loop_
_space_group_symop_operation_xyz
'x,y,z'
loop_
_atom_site_label
_atom_site_fract_x
_atom_site_fract_y
_atom_site_fract_z
Li1 0.000 0.000 0.000
Li2 0.250 0.412 0.349
Li3 0.750 0.588 0.651
Fe1 0.500 0.000 0.000
Fe2 0.500 0.000 0.500
P1 0.163 0.361 0.740
P2 0.837 0.639 0.260
O1 0.137 0.760 0.422
O2 0.166 0.658 0.838
O3 0.224 0.217 0.893
O4 0.374 0.336 0.624
O5 0.626 0.664 0.376
O6 0.776 0.783 0.107
O7 0.834 0.342 0.162
O8 0.863 0.240 0.578
F1 0.351 0.083 0.245
F2 0.649 0.917 0.755
```

Top 8 peaks for 10° ≤ 2θ ≤ 90°, most intense first:
| 2theta | d (Å) | intensity |
| --- | --- | --- |
| 26.63 | 3.347 | 100 |
| 28.50 | 3.132 | 56 |
| 18.41 | 4.818 | 34 |
| 17.67 | 5.020 | 25 |
| 26.42 | 3.373 | 21 |
| 54.50 | 1.684 | 21 |
| 36.28 | 2.476 | 18 |
| 25.92 | 3.438 | 18 |

---

What did the second record say?
For Li3Fe4O3F9, a DFT-relaxed cell (PBE+U, Alexandria) gives the simulated X-ray diffraction stick pattern in this record (Cu Ka).
Lines closer than 0.1° are merged.

Structure:
```
data_Li3Fe4O3F9
_chemical_formula_sum 'Li3 Fe4 O3 F9'
_cell_length_a 5.943
_cell_length_b 6.006
_cell_length_c 6.046
_cell_angle_alpha 98.65
_cell_angle_beta 98.94
_cell_angle_gamma 98.41
_space_group_name_H-M_alt 'P 1'
_space_group_IT_number 1
loop_
_space_group_symop_operation_xyz
'x,y,z'
loop_
_atom_site_label
_atom_site_fract_x
_atom_site_fract_y
_atom_site_fract_z
Li1 0.000 0.000 0.000
Li2 0.085 0.271 0.535
Li3 0.244 0.500 0.041
Fe1 0.389 0.858 0.665
Fe2 0.535 0.207 0.276
Fe3 0.696 0.420 0.777
Fe4 0.785 0.682 0.303
O1 0.488 0.154 0.592
O2 0.590 0.433 0.066
O3 0.792 0.442 0.479
F1 0.007 0.683 0.095
F2 0.062 0.880 0.541
F3 0.213 0.271 0.254
F4 0.282 0.550 0.717
F5 0.349 0.979 0.977
F6 0.461 0.730 0.364
F7 0.695 0.777 0.788
F8 0.773 0.007 0.232
F9 0.957 0.258 0.841
```

Top 8 peaks for 10° ≤ 2θ ≤ 90°, most intense first:
| 2theta | d (Å) | intensity |
| --- | --- | --- |
| 15.33 | 5.781 | 100 |
| 24.77 | 3.594 | 65 |
| 31.67 | 2.825 | 58 |
| 31.55 | 2.836 | 55 |
| 19.63 | 4.523 | 54 |
| 32.07 | 2.791 | 53 |
| 53.45 | 1.714 | 44 |
| 30.90 | 2.894 | 43 |

---

Q: Number 6 is which compound?
A: Li3Fe2P2O8F2